(1)
Starting from a structure optimized by DFT (GGA-PBE), the X-ray powder pattern of SiSn was calculated for a wavelength of 1.5418 Å.
Peak positions follow from Bragg's law for the DFT cell and can differ from measured ones.

Largest 10 diffraction maxima, sorted by position, 10° ≤ 2θ ≤ 80°:
14.6°, 6.051 Å, rel. 218
24.5°, 3.637 Å, rel. 233
30.3°, 2.953 Å, rel. 176
32.3°, 2.771 Å, rel. 1000
33.8°, 2.654 Å, rel. 294
36.0°, 2.496 Å, rel. 269
44.3°, 2.043 Å, rel. 226
50.2°, 1.818 Å, rel. 193
55.1°, 1.667 Å, rel. 185
62.4°, 1.489 Å, rel. 158

Crystal structure
a b c (Å): 6.7333 6.5458 3.8668
angles (deg): 75.75 70.43 33.82
Sites, in units of the cell vectors:
1 Si 0.2043 0.7957 0.2043
2 Si 0.7957 0.2043 0.7957
3 Sn 0.3195 0.3195 0.6805
4 Sn 0.6805 0.6805 0.3195


(2)
Starting from a structure optimized by DFT (GGA-PBE), the X-ray powder pattern of Si23Sn3 was calculated for a wavelength of 1.5418 Å.
Peak positions follow from Bragg's law for the DFT cell and can differ from measured ones.

Largest 10 diffraction maxima, sorted by position, 10° ≤ 2θ ≤ 80°:
12.3°, 7.205 Å, rel. 363
19.5°, 4.557 Å, rel. 477
27.7°, 3.222 Å, rel. 257
30.4°, 2.941 Å, rel. 942
31.7°, 2.826 Å, rel. 963
32.9°, 2.723 Å, rel. 1000
35.2°, 2.547 Å, rel. 312
48.1°, 1.892 Å, rel. 275
52.4°, 1.747 Å, rel. 597
55.6°, 1.653 Å, rel. 431

Crystal structure
a b c (Å): 10.1893 10.1893 10.1893
angles (deg): 90.00 90.00 90.00
Sites, in units of the cell vectors:
1 Si 0.0000 0.1166 0.3090
2 Si 0.0000 0.1166 0.6910
3 Si 0.0000 0.2500 0.5000
4 Si 0.0000 0.7500 0.5000
5 Si 0.0000 0.8834 0.3090
6 Si 0.0000 0.8834 0.6910
7 Si 0.1166 0.3090 0.0000
8 Si 0.1166 0.6910 0.0000
9 Si 0.1843 0.1843 0.1843
10 Si 0.1843 0.1843 0.8157
11 Si 0.1843 0.8157 0.1843
12 Si 0.1843 0.8157 0.8157
13 Si 0.1910 0.3834 0.5000
14 Si 0.1910 0.6166 0.5000
15 Si 0.2500 0.5000 0.0000
16 Si 0.3090 0.0000 0.1166
17 Si 0.3090 0.0000 0.8834
18 Si 0.3157 0.3157 0.3157
19 Si 0.3157 0.3157 0.6843
20 Si 0.3157 0.6843 0.3157
21 Si 0.3157 0.6843 0.6843
22 Si 0.3834 0.5000 0.1910
23 Si 0.3834 0.5000 0.8090
24 Si 0.5000 0.0000 0.2500
25 Si 0.5000 0.0000 0.7500
26 Si 0.5000 0.1910 0.3834
27 Si 0.5000 0.1910 0.6166
28 Si 0.5000 0.8090 0.3834
29 Si 0.5000 0.8090 0.6166
30 Si 0.6166 0.5000 0.1910
31 Si 0.6166 0.5000 0.8090
32 Si 0.6843 0.3157 0.3157
33 Si 0.6843 0.3157 0.6843
34 Si 0.6843 0.6843 0.3157
35 Si 0.6843 0.6843 0.6843
36 Si 0.6910 0.0000 0.1166
37 Si 0.6910 0.0000 0.8834
38 Si 0.7500 0.5000 0.0000
39 Si 0.8090 0.3834 0.5000
40 Si 0.8090 0.6166 0.5000
41 Si 0.8157 0.1843 0.1843
42 Si 0.8157 0.1843 0.8157
43 Si 0.8157 0.8157 0.1843
44 Si 0.8157 0.8157 0.8157
45 Si 0.8834 0.3090 0.0000
46 Si 0.8834 0.6910 0.0000
47 Sn 0.0000 0.5000 0.2500
48 Sn 0.0000 0.5000 0.7500
49 Sn 0.2500 0.0000 0.5000
50 Sn 0.5000 0.2500 0.0000
51 Sn 0.5000 0.7500 0.0000
52 Sn 0.7500 0.0000 0.5000